Ac: calculated powder XRD pattern (Cu Kα (λ = 1.5418 Å)), based on a structure optimized by DFT (GGA-PBE).
Kinematic intensities with the Lorentz-polarization factor, no thermal factor.

Structure:
```
data_Ac
_cell_length_a 3.9980
_cell_length_b 3.9980
_cell_length_c 9.7833
_cell_angle_alpha 90.00
_cell_angle_beta 90.00
_cell_angle_gamma 120.00
_symmetry_space_group_name_H-M 'P 31 2 1'
_symmetry_Int_Tables_number 152
loop_
_symmetry_equiv_pos_as_xyz
'x,y,z'
'-y,x-y,z+1/3'
'-x+y,-x,z+2/3'
'y,x,-z'
'x-y,-y,-z+2/3'
'-x,-x+y,-z+1/3'
loop_
_atom_site_label
_atom_site_type_symbol
_atom_site_fract_x
_atom_site_fract_y
_atom_site_fract_z
Ac1 Ac 0.0000 0.3452 0.1667
```

Most intense lines, 5 to 70 degrees two-theta, sorted by position:
2θ (°), I_rel, h k l
27.3, 100, 0 0 3
31.7, 52, 0 1 2
45.4, 39, 1 0 4
53.8, 48, 0 1 5
56.4, 14, 0 0 6
66.1, 7, 0 2 4

Ac: calculated powder XRD pattern (Cu Kα (λ = 1.5418 Å)), based on a structure optimized by DFT (GGA-PBE).
Kinematic intensities with the Lorentz-polarization factor, no thermal factor.

Structure:
```
data_Ac
_cell_length_a 13.7488
_cell_length_b 13.7488
_cell_length_c 13.7488
_cell_angle_alpha 90.00
_cell_angle_beta 90.00
_cell_angle_gamma 90.00
_symmetry_space_group_name_H-M 'I -4 3 m'
_symmetry_Int_Tables_number 217
_symmetry_space_group_name_Hall 'I -4 2 3'
loop_
_atom_site_label
_atom_site_type_symbol
_atom_site_fract_x
_atom_site_fract_y
_atom_site_fract_z
Ac1 Ac 0.0000 0.0000 0.0000
Ac2 Ac 0.0504 0.3657 0.6343
Ac3 Ac 0.0942 0.0942 0.7168
Ac4 Ac 0.1792 0.1792 0.1792
```

Most intense lines, 5 to 70 degrees two-theta, sorted by position:
2θ (°), I_rel, h k l
25.9, 11, 4 0 0
27.5, 100, 4 1 1
30.5, 37, 3 3 2
31.9, 13, 4 2 2
33.2, 17, 4 3 1
46.7, 15, 5 5 0
48.7, 30, 7 2 1
52.4, 8, 6 5 1
56.8, 8, 8 2 2
57.7, 9, 7 4 3

Ac: calculated powder XRD pattern (Cu Kα (λ = 1.5418 Å)), based on a structure optimized by DFT (GGA-PBE).
Kinematic intensities with the Lorentz-polarization factor, no thermal factor.

Structure:
```
data_Ac
_cell_length_a 7.0955
_cell_length_b 7.0955
_cell_length_c 7.0955
_cell_angle_alpha 90.00
_cell_angle_beta 90.00
_cell_angle_gamma 90.00
_symmetry_space_group_name_H-M 'P m -3 n'
_symmetry_Int_Tables_number 223
_symmetry_space_group_name_Hall '-P 4n 2 3'
loop_
_atom_site_label
_atom_site_type_symbol
_atom_site_fract_x
_atom_site_fract_y
_atom_site_fract_z
Ac1 Ac 0.0000 0.0000 0.0000
Ac2 Ac 0.0000 0.2500 0.5000
```

Most intense lines, 5 to 70 degrees two-theta, sorted by position:
2θ (°), I_rel, h k l
25.1, 33, 2 0 0
28.1, 100, 2 1 0
30.9, 79, 2 1 1
44.2, 10, 2 2 2
46.1, 27, 3 2 0
48.0, 48, 3 2 1
51.5, 20, 4 0 0
58.1, 14, 4 2 0
59.7, 25, 4 2 1
61.3, 12, 3 3 2

Ac: calculated powder XRD pattern (Cu Kα (λ = 1.5418 Å)), based on a structure optimized by DFT (GGA-PBE).
Kinematic intensities with the Lorentz-polarization factor, no thermal factor.

Structure:
```
data_Ac
_cell_length_a 5.6474
_cell_length_b 5.6474
_cell_length_c 5.6474
_cell_angle_alpha 90.00
_cell_angle_beta 90.00
_cell_angle_gamma 90.00
_symmetry_space_group_name_H-M 'F m -3 m'
_symmetry_Int_Tables_number 225
_symmetry_space_group_name_Hall '-F 4 2 3'
loop_
_atom_site_label
_atom_site_type_symbol
_atom_site_fract_x
_atom_site_fract_y
_atom_site_fract_z
Ac1 Ac 0.0000 0.0000 0.0000
```

Most intense lines, 5 to 70 degrees two-theta, sorted by position:
2θ (°), I_rel, h k l
27.4, 100, 1 1 1
31.7, 52, 2 0 0
45.4, 39, 2 2 0
53.8, 48, 3 1 1
56.4, 14, 2 2 2
66.2, 7, 4 0 0